Structure and calculated X-ray diffraction stick pattern of Na6SnPt2 (a crystal structure in Alexandria, relaxed with GGA-PBE; copper Kα).

Structure:
```
data_Na6SnPt2
_chemical_formula_sum 'Na18 Sn3 Pt6'
_space_group_name_H-M_alt 'R -3 m'
_space_group_IT_number 166
_space_group_name_Hall '-R 3 2"'
_cell_length_a 5.1479
_cell_length_b 5.1479
_cell_length_c 29.6272
_cell_angle_alpha 90.00
_cell_angle_beta 90.00
_cell_angle_gamma 120.00
loop_
_atom_site_label
_atom_site_type_symbol
_atom_site_fract_x
_atom_site_fract_y
_atom_site_fract_z
_atom_site_occupancy
Na1 Na 0.0000 0.0000 0.0784 1
Na2 Na 0.0000 0.0000 0.2075 1
Na3 Na 0.0000 0.0000 0.3106 1
Sn1 Sn 0.0000 0.0000 0.5000 1
Pt1 Pt 0.0000 0.0000 0.4125 1
```

Main lines, sorted by position (10 to 90 degrees two-theta):
4.938 Å, rel. 19.1; 4.409 Å, rel. 100.0; 4.269 Å, rel. 32.8; 2.574 Å, rel. 65.1; 2.468 Å, rel. 42.3; 2.305 Å, rel. 29.8; 2.223 Å, rel. 17.1; 1.782 Å, rel. 35.7

Structure and calculated X-ray diffraction stick pattern of Pr7AsCl12 (a crystal structure in Alexandria, relaxed with GGA-PBE; copper Kα).

Structure:
```
data_Pr7AsCl12
_chemical_formula_sum 'Pr21 As3 Cl36'
_space_group_name_H-M_alt 'R -3'
_space_group_IT_number 148
_space_group_name_Hall '-R 3'
_cell_length_a 14.9319
_cell_length_b 14.9319
_cell_length_c 9.9606
_cell_angle_alpha 90.00
_cell_angle_beta 90.00
_cell_angle_gamma 120.00
loop_
_atom_site_label
_atom_site_type_symbol
_atom_site_fract_x
_atom_site_fract_y
_atom_site_fract_z
_atom_site_occupancy
Pr1 Pr 0.0000 0.0000 0.0000 1
Pr2 Pr 0.0430 0.8714 0.3411 1
As1 As 0.0000 0.0000 0.5000 1
Cl1 Cl 0.0261 0.4437 0.1625 1
Cl2 Cl 0.0437 0.8703 0.8391 1
```

Main lines, sorted by position (10 to 90 degrees two-theta):
7.891 Å, rel. 28.4; 7.466 Å, rel. 68.3; 4.388 Å, rel. 16.8; 3.374 Å, rel. 17.6; 2.910 Å, rel. 100.0; 2.071 Å, rel. 34.6; 2.045 Å, rel. 35.3; 1.687 Å, rel. 17.2

Structure and calculated X-ray diffraction stick pattern of KReN2 (a crystal structure in Alexandria, relaxed with GGA-PBE; copper Kα).

Structure:
```
data_KReN2
_chemical_formula_sum 'K8 Re8 N16'
_space_group_name_H-M_alt 'P b c m'
_space_group_IT_number 57
_space_group_name_Hall '-P 2c 2b'
_cell_length_a 7.8129
_cell_length_b 6.2111
_cell_length_c 12.2305
_cell_angle_alpha 90.00
_cell_angle_beta 90.00
_cell_angle_gamma 90.00
loop_
_atom_site_label
_atom_site_type_symbol
_atom_site_fract_x
_atom_site_fract_y
_atom_site_fract_z
_atom_site_occupancy
K1 K 0.1126 0.0588 0.2500 1
K2 K 0.3651 0.2500 0.0000 1
Re1 Re 0.1342 0.7500 0.0000 1
Re2 Re 0.3911 0.6224 0.2500 1
N1 N 0.0000 0.0000 0.0000 1
N2 N 0.2738 0.6956 0.1229 1
N3 N 0.4201 0.1834 0.7500 1
```

Main lines, sorted by position (10 to 90 degrees two-theta):
4.862 Å, rel. 55.9; 4.816 Å, rel. 75.5; 3.192 Å, rel. 31.5; 3.058 Å, rel. 46.7; 3.010 Å, rel. 20.1; 2.909 Å, rel. 100.0; 2.769 Å, rel. 20.1; 1.735 Å, rel. 22.1

Structure and calculated X-ray diffraction stick pattern of LaCuSn (a crystal structure in Alexandria, relaxed with GGA-PBE; copper Kα).

Structure:
```
data_LaCuSn
_chemical_formula_sum 'La2 Cu2 Sn2'
_space_group_name_H-M_alt 'P m a 2'
_space_group_IT_number 28
_space_group_name_Hall 'P 2 -2a'
_cell_length_a 4.8883
_cell_length_b 6.9283
_cell_length_c 4.5882
_cell_angle_alpha 90.00
_cell_angle_beta 90.00
_cell_angle_gamma 90.00
loop_
_atom_site_label
_atom_site_type_symbol
_atom_site_fract_x
_atom_site_fract_y
_atom_site_fract_z
_atom_site_occupancy
La1 La 0.2500 0.2246 0.0000 1
Cu1 Cu 0.0000 0.5000 0.5011 1
Sn1 Sn 0.2500 0.8384 0.5000 1
```

Main lines, sorted by position (10 to 90 degrees two-theta):
3.013 Å, rel. 100.0; 2.765 Å, rel. 14.8; 2.406 Å, rel. 22.0; 2.308 Å, rel. 23.8; 2.294 Å, rel. 22.3; 1.997 Å, rel. 17.5; 1.627 Å, rel. 15.9; 1.506 Å, rel. 13.9

Structure and calculated X-ray diffraction stick pattern of Tm3Mg5Ni2 (a crystal structure in Alexandria, relaxed with GGA-PBE; copper Kα).

Structure:
```
data_Tm3Mg5Ni2
_chemical_formula_sum 'Tm12 Mg20 Ni8'
_space_group_name_H-M_alt 'I b a m'
_space_group_IT_number 72
_space_group_name_Hall '-I 2 2c'
_cell_length_a 10.4268
_cell_length_b 14.2897
_cell_length_c 5.9722
_cell_angle_alpha 90.00
_cell_angle_beta 90.00
_cell_angle_gamma 90.00
loop_
_atom_site_label
_atom_site_type_symbol
_atom_site_fract_x
_atom_site_fract_y
_atom_site_fract_z
_atom_site_occupancy
Tm1 Tm 0.0000 0.0000 0.2500 1
Tm2 Tm 0.2061 0.1707 0.0000 1
Mg1 Mg 0.0000 0.3018 0.2500 1
Mg2 Mg 0.0000 0.5000 0.2500 1
Mg3 Mg 0.2264 0.4280 0.0000 1
Ni1 Ni 0.0601 0.1601 0.5000 1
```

Main lines, sorted by position (10 to 90 degrees two-theta):
8.423 Å, rel. 100.0; 4.202 Å, rel. 51.6; 2.943 Å, rel. 45.1; 2.808 Å, rel. 21.9; 2.755 Å, rel. 23.5; 2.591 Å, rel. 28.4; 2.459 Å, rel. 33.1; 2.356 Å, rel. 27.5

Structure and calculated X-ray diffraction stick pattern of KNbN2 (a crystal structure in Alexandria, relaxed with GGA-PBE; copper Kα).

Structure:
```
data_KNbN2
_chemical_formula_sum 'K4 Nb4 N8'
_space_group_name_H-M_alt 'C 1 2/m 1'
_space_group_IT_number 12
_space_group_name_Hall '-C 2y'
_cell_length_a 11.3889
_cell_length_b 3.5473
_cell_length_c 6.3778
_cell_angle_alpha 90.00
_cell_angle_beta 101.17
_cell_angle_gamma 90.00
loop_
_atom_site_label
_atom_site_type_symbol
_atom_site_fract_x
_atom_site_fract_y
_atom_site_fract_z
_atom_site_occupancy
K1 K 0.1274 0.0000 0.0362 1
Nb1 Nb 0.1312 0.5000 0.5356 1
N1 N 0.0003 0.5000 0.2888 1
N2 N 0.2098 0.0000 0.6475 1
```

Main lines, sorted by position (10 to 90 degrees two-theta):
6.257 Å, rel. 100.0; 3.128 Å, rel. 49.4; 3.050 Å, rel. 87.4; 2.904 Å, rel. 46.9; 2.793 Å, rel. 41.3; 2.319 Å, rel. 43.4; 2.272 Å, rel. 50.4; 1.823 Å, rel. 27.0

Structure and calculated X-ray diffraction stick pattern of KLi6Bi4 (a crystal structure in Alexandria, relaxed with GGA-PBE; copper Kα).

Structure:
```
data_KLi6Bi4
_chemical_formula_sum 'K1 Li6 Bi4'
_space_group_name_H-M_alt 'P -6 m 2'
_space_group_IT_number 187
_space_group_name_Hall 'P -6 2'
_cell_length_a 8.3167
_cell_length_b 8.3167
_cell_length_c 4.6699
_cell_angle_alpha 90.00
_cell_angle_beta 90.00
_cell_angle_gamma 120.00
loop_
_atom_site_label
_atom_site_type_symbol
_atom_site_fract_x
_atom_site_fract_y
_atom_site_fract_z
_atom_site_occupancy
K1 K 0.0000 0.0000 0.0000 1
Li1 Li 0.2172 0.4345 0.5000 1
Li2 Li 0.5324 0.0648 0.0000 1
Bi1 Bi 0.3333 0.6667 0.0000 1
Bi2 Bi 0.4001 0.2001 0.5000 1
```

Main lines, sorted by position (10 to 90 degrees two-theta):
3.918 Å, rel. 99.0; 3.601 Å, rel. 100.0; 3.106 Å, rel. 40.5; 2.852 Å, rel. 26.9; 2.352 Å, rel. 56.6; 2.135 Å, rel. 48.3; 1.959 Å, rel. 39.2; 1.558 Å, rel. 32.7

Structure and calculated X-ray diffraction stick pattern of Rb2CdF6 (a crystal structure in Alexandria, relaxed with GGA-PBE; copper Kα).

Structure:
```
data_Rb2CdF6
_chemical_formula_sum 'Rb4 Cd2 F12'
_space_group_name_H-M_alt 'P 1 21/c 1'
_space_group_IT_number 14
_space_group_name_Hall '-P 2ybc'
_cell_length_a 6.1746
_cell_length_b 8.0873
_cell_length_c 8.2854
_cell_angle_alpha 90.00
_cell_angle_beta 118.47
_cell_angle_gamma 90.00
loop_
_atom_site_label
_atom_site_type_symbol
_atom_site_fract_x
_atom_site_fract_y
_atom_site_fract_z
_atom_site_occupancy
Rb1 Rb 0.1789 0.0720 0.3203 1
Cd1 Cd 0.5000 0.0000 0.0000 1
F1 F 0.1860 0.1167 0.9819 1
F2 F 0.3197 0.7304 0.4510 1
F3 F 0.3428 0.0341 0.7140 1
```

Main lines, sorted by position (10 to 90 degrees two-theta):
5.416 Å, rel. 24.2; 4.045 Å, rel. 100.0; 3.293 Å, rel. 45.1; 2.865 Å, rel. 66.2; 2.414 Å, rel. 22.0; 2.325 Å, rel. 36.7; 2.023 Å, rel. 19.2; 1.913 Å, rel. 17.1

What did the second record say?
Structure and calculated X-ray diffraction stick pattern of Pr7AsCl12 (a crystal structure in Alexandria, relaxed with GGA-PBE; copper Kα).

Structure:
```
data_Pr7AsCl12
_chemical_formula_sum 'Pr21 As3 Cl36'
_space_group_name_H-M_alt 'R -3'
_space_group_IT_number 148
_space_group_name_Hall '-R 3'
_cell_length_a 14.9319
_cell_length_b 14.9319
_cell_length_c 9.9606
_cell_angle_alpha 90.00
_cell_angle_beta 90.00
_cell_angle_gamma 120.00
loop_
_atom_site_label
_atom_site_type_symbol
_atom_site_fract_x
_atom_site_fract_y
_atom_site_fract_z
_atom_site_occupancy
Pr1 Pr 0.0000 0.0000 0.0000 1
Pr2 Pr 0.0430 0.8714 0.3411 1
As1 As 0.0000 0.0000 0.5000 1
Cl1 Cl 0.0261 0.4437 0.1625 1
Cl2 Cl 0.0437 0.8703 0.8391 1
```

Main lines, sorted by position (10 to 90 degrees two-theta):
7.891 Å, rel. 28.4; 7.466 Å, rel. 68.3; 4.388 Å, rel. 16.8; 3.374 Å, rel. 17.6; 2.910 Å, rel. 100.0; 2.071 Å, rel. 34.6; 2.045 Å, rel. 35.3; 1.687 Å, rel. 17.2

Please write out number 4 again, unchanged.
Structure and calculated X-ray diffraction stick pattern of LaCuSn (a crystal structure in Alexandria, relaxed with GGA-PBE; copper Kα).

Structure:
```
data_LaCuSn
_chemical_formula_sum 'La2 Cu2 Sn2'
_space_group_name_H-M_alt 'P m a 2'
_space_group_IT_number 28
_space_group_name_Hall 'P 2 -2a'
_cell_length_a 4.8883
_cell_length_b 6.9283
_cell_length_c 4.5882
_cell_angle_alpha 90.00
_cell_angle_beta 90.00
_cell_angle_gamma 90.00
loop_
_atom_site_label
_atom_site_type_symbol
_atom_site_fract_x
_atom_site_fract_y
_atom_site_fract_z
_atom_site_occupancy
La1 La 0.2500 0.2246 0.0000 1
Cu1 Cu 0.0000 0.5000 0.5011 1
Sn1 Sn 0.2500 0.8384 0.5000 1
```

Main lines, sorted by position (10 to 90 degrees two-theta):
3.013 Å, rel. 100.0; 2.765 Å, rel. 14.8; 2.406 Å, rel. 22.0; 2.308 Å, rel. 23.8; 2.294 Å, rel. 22.3; 1.997 Å, rel. 17.5; 1.627 Å, rel. 15.9; 1.506 Å, rel. 13.9

What did the first record say?
Structure and calculated X-ray diffraction stick pattern of Na6SnPt2 (a crystal structure in Alexandria, relaxed with GGA-PBE; copper Kα).

Structure:
```
data_Na6SnPt2
_chemical_formula_sum 'Na18 Sn3 Pt6'
_space_group_name_H-M_alt 'R -3 m'
_space_group_IT_number 166
_space_group_name_Hall '-R 3 2"'
_cell_length_a 5.1479
_cell_length_b 5.1479
_cell_length_c 29.6272
_cell_angle_alpha 90.00
_cell_angle_beta 90.00
_cell_angle_gamma 120.00
loop_
_atom_site_label
_atom_site_type_symbol
_atom_site_fract_x
_atom_site_fract_y
_atom_site_fract_z
_atom_site_occupancy
Na1 Na 0.0000 0.0000 0.0784 1
Na2 Na 0.0000 0.0000 0.2075 1
Na3 Na 0.0000 0.0000 0.3106 1
Sn1 Sn 0.0000 0.0000 0.5000 1
Pt1 Pt 0.0000 0.0000 0.4125 1
```

Main lines, sorted by position (10 to 90 degrees two-theta):
4.938 Å, rel. 19.1; 4.409 Å, rel. 100.0; 4.269 Å, rel. 32.8; 2.574 Å, rel. 65.1; 2.468 Å, rel. 42.3; 2.305 Å, rel. 29.8; 2.223 Å, rel. 17.1; 1.782 Å, rel. 35.7